# 1
For Na2ZnP2O7, a DFT-relaxed cell (PBE, the Materials Project) gives the computed X-ray powder pattern in this record (Cu Kα (weighted mean of Kα1 and Kα2)).
Neutral-atom scattering factors, no anomalous dispersion.

Top 10 peaks for 2θ = 10–90°, most intense first:
- 2θ = 30.8°, I = 100
- 2θ = 17.0°, I = 98
- 2θ = 28.5°, I = 68
- 2θ = 50.9°, I = 50
- 2θ = 36.3°, I = 47
- 2θ = 23.4°, I = 42
- 2θ = 25.4°, I = 38
- 2θ = 40.3°, I = 33
- 2θ = 47.9°, I = 23
- 2θ = 28.1°, I = 19

Structural model:
a = 7.8338 Å, b = 7.8338 Å, c = 10.4204 Å
α = 90.00°, β = 90.00°, γ = 90.00°
Element x y z (fractional)
Na (0.1459, 0.1459, 0.0000)
Na (0.1939, 0.1939, 0.5000)
Na (0.3061, 0.6939, 0.0000)
Na (0.3541, 0.6459, 0.5000)
Na (0.6459, 0.3541, 0.5000)
Na (0.6939, 0.3061, 0.0000)
Na (0.8061, 0.8061, 0.5000)
Na (0.8541, 0.8541, 0.0000)
Zn (0.0000, 0.5000, 0.2500)
Zn (0.0000, 0.5000, 0.7500)
Zn (0.5000, 0.0000, 0.2500)
Zn (0.5000, 0.0000, 0.7500)
P (0.1381, 0.8619, 0.2887)
P (0.1381, 0.8619, 0.7113)
P (0.3619, 0.3619, 0.2113)
P (0.3619, 0.3619, 0.7887)
P (0.6381, 0.6381, 0.2113)
P (0.6381, 0.6381, 0.7887)
P (0.8619, 0.1381, 0.2887)
P (0.8619, 0.1381, 0.7113)
O (0.0000, 0.0000, 0.3454)
O (0.0000, 0.0000, 0.6546)
O (0.0805, 0.6940, 0.3532)
O (0.0805, 0.6940, 0.6468)
O (0.1365, 0.8635, 0.1435)
O (0.1365, 0.8635, 0.8565)
O (0.1940, 0.4195, 0.1468)
O (0.1940, 0.4195, 0.8532)
O (0.3060, 0.9195, 0.3532)
O (0.3060, 0.9195, 0.6468)
O (0.3635, 0.3635, 0.3565)
O (0.3635, 0.3635, 0.6435)
O (0.4195, 0.1940, 0.1468)
O (0.4195, 0.1940, 0.8532)
O (0.5000, 0.5000, 0.1546)
O (0.5000, 0.5000, 0.8454)
O (0.5805, 0.8060, 0.1468)
O (0.5805, 0.8060, 0.8532)
O (0.6365, 0.6365, 0.3565)
O (0.6365, 0.6365, 0.6435)
O (0.6940, 0.0805, 0.3532)
O (0.6940, 0.0805, 0.6468)
O (0.8060, 0.5805, 0.1468)
O (0.8060, 0.5805, 0.8532)
O (0.8635, 0.1365, 0.1435)
O (0.8635, 0.1365, 0.8565)
O (0.9195, 0.3060, 0.3532)
O (0.9195, 0.3060, 0.6468)

---

# 2
For Na3Zn3P3O16, a DFT-relaxed cell (PBE, the Materials Project) gives the computed X-ray powder pattern in this record (Cu Kα (weighted mean of Kα1 and Kα2)).
Neutral-atom scattering factors, no anomalous dispersion.

Top 10 peaks for 2θ = 10–90°, most intense first:
- 2θ = 24.1°, I = 100
- 2θ = 13.8°, I = 65
- 2θ = 34.3°, I = 52
- 2θ = 24.2°, I = 40
- 2θ = 19.6°, I = 35
- 2θ = 34.5°, I = 21
- 2θ = 31.3°, I = 20
- 2θ = 31.2°, I = 19
- 2θ = 57.8°, I = 18
- 2θ = 37.1°, I = 18

Structural model:
a = 9.0501 Å, b = 9.0501 Å, c = 9.0501 Å
α = 90.36°, β = 90.36°, γ = 90.36°
Element x y z (fractional)
Na (0.0552, 0.7262, 0.7185)
Na (0.2185, 0.2262, 0.5552)
Na (0.2262, 0.5552, 0.2185)
Na (0.5552, 0.2185, 0.2262)
Na (0.7185, 0.0552, 0.7262)
Na (0.7262, 0.7185, 0.0552)
Zn (0.1427, 0.8928, 0.3791)
Zn (0.3791, 0.1427, 0.8928)
Zn (0.3928, 0.6427, 0.8791)
Zn (0.6427, 0.8791, 0.3928)
Zn (0.8791, 0.3928, 0.6427)
Zn (0.8928, 0.3791, 0.1427)
P (0.1378, 0.3937, 0.8875)
P (0.3875, 0.8937, 0.6378)
P (0.3937, 0.8875, 0.1378)
P (0.6378, 0.3875, 0.8937)
P (0.8875, 0.1378, 0.3937)
P (0.8937, 0.6378, 0.3875)
O (0.0101, 0.0481, 0.3193)
O (0.0136, 0.7387, 0.4621)
O (0.0414, 0.4715, 0.7687)
O (0.0481, 0.3193, 0.0101)
O (0.2309, 0.2736, 0.8077)
O (0.2387, 0.5136, 0.9621)
O (0.2687, 0.9715, 0.5414)
O (0.2736, 0.8077, 0.2309)
O (0.3077, 0.7736, 0.7309)
O (0.3093, 0.4712, 0.4682)
O (0.3193, 0.0101, 0.0481)
O (0.3273, 0.3273, 0.3273)
O (0.4621, 0.0136, 0.7387)
O (0.4682, 0.3093, 0.4712)
O (0.4712, 0.4682, 0.3093)
O (0.4715, 0.7687, 0.0414)
O (0.5101, 0.8193, 0.5481)
O (0.5136, 0.9621, 0.2387)
O (0.5414, 0.2687, 0.9715)
O (0.5481, 0.5101, 0.8193)
O (0.7309, 0.3077, 0.7736)
O (0.7387, 0.4621, 0.0136)
O (0.7687, 0.0414, 0.4715)
O (0.7736, 0.7309, 0.3077)
O (0.8077, 0.2309, 0.2736)
O (0.8093, 0.9682, 0.9712)
O (0.8193, 0.5481, 0.5101)
O (0.8273, 0.8273, 0.8273)
O (0.9621, 0.2387, 0.5136)
O (0.9682, 0.9712, 0.8093)
O (0.9712, 0.8093, 0.9682)
O (0.9715, 0.5414, 0.2687)

---

# 3
For NaPaO3, a DFT-relaxed cell (PBE, the Materials Project) gives the computed X-ray powder pattern in this record (Cu Kα (weighted mean of Kα1 and Kα2)).
Neutral-atom scattering factors, no anomalous dispersion.

Top 10 peaks for 2θ = 10–90°, most intense first:
- 2θ = 20.4°, I = 100
- 2θ = 29.0°, I = 97
- 2θ = 46.7°, I = 47
- 2θ = 51.4°, I = 42
- 2θ = 41.5°, I = 31
- 2θ = 64.2°, I = 23
- 2θ = 83.0°, I = 22
- 2θ = 60.1°, I = 20
- 2θ = 68.1°, I = 18
- 2θ = 35.7°, I = 16

Structural model:
a = 4.3535 Å, b = 4.3535 Å, c = 4.3535 Å
α = 90.00°, β = 90.00°, γ = 90.00°
Element x y z (fractional)
Na (0.0000, 0.0000, 0.0000)
Pa (0.5000, 0.5000, 0.5000)
O (0.0000, 0.5000, 0.5000)
O (0.5000, 0.0000, 0.5000)
O (0.5000, 0.5000, 0.0000)

---

# 4
For Na6PbO5, a DFT-relaxed cell (PBE, the Materials Project) gives the computed X-ray powder pattern in this record (Cu Kα (weighted mean of Kα1 and Kα2)).
Neutral-atom scattering factors, no anomalous dispersion.

Top 10 peaks for 2θ = 10–90°, most intense first:
- 2θ = 18.6°, I = 100
- 2θ = 29.5°, I = 56
- 2θ = 16.0°, I = 51
- 2θ = 37.6°, I = 45
- 2θ = 33.9°, I = 35
- 2θ = 22.7°, I = 30
- 2θ = 47.5°, I = 27
- 2θ = 32.3°, I = 27
- 2θ = 61.2°, I = 22
- 2θ = 29.7°, I = 20

Structural model:
a = 6.3016 Å, b = 6.3016 Å, c = 6.3016 Å
α = 103.20°, β = 103.20°, γ = 122.91°
Element x y z (fractional)
Na (0.0000, 0.5000, 0.5000)
Na (0.0522, 0.0522, 0.5915)
Na (0.0522, 0.4607, 0.0000)
Na (0.4607, 0.0522, 0.0000)
Na (0.4607, 0.4607, 0.4085)
Na (0.5000, 0.0000, 0.5000)
Pb (0.6930, 0.6930, 0.0000)
O (0.0300, 0.7515, 0.2785)
O (0.3312, 0.3312, 0.0000)
O (0.4729, 0.7515, 0.7215)
O (0.7515, 0.0300, 0.2785)
O (0.7515, 0.4729, 0.7215)

---

Copy entry 1 word for word.
For Na2ZnP2O7, a DFT-relaxed cell (PBE, the Materials Project) gives the computed X-ray powder pattern in this record (Cu Kα (weighted mean of Kα1 and Kα2)).
Neutral-atom scattering factors, no anomalous dispersion.

Top 10 peaks for 2θ = 10–90°, most intense first:
- 2θ = 30.8°, I = 100
- 2θ = 17.0°, I = 98
- 2θ = 28.5°, I = 68
- 2θ = 50.9°, I = 50
- 2θ = 36.3°, I = 47
- 2θ = 23.4°, I = 42
- 2θ = 25.4°, I = 38
- 2θ = 40.3°, I = 33
- 2θ = 47.9°, I = 23
- 2θ = 28.1°, I = 19

Structural model:
a = 7.8338 Å, b = 7.8338 Å, c = 10.4204 Å
α = 90.00°, β = 90.00°, γ = 90.00°
Element x y z (fractional)
Na (0.1459, 0.1459, 0.0000)
Na (0.1939, 0.1939, 0.5000)
Na (0.3061, 0.6939, 0.0000)
Na (0.3541, 0.6459, 0.5000)
Na (0.6459, 0.3541, 0.5000)
Na (0.6939, 0.3061, 0.0000)
Na (0.8061, 0.8061, 0.5000)
Na (0.8541, 0.8541, 0.0000)
Zn (0.0000, 0.5000, 0.2500)
Zn (0.0000, 0.5000, 0.7500)
Zn (0.5000, 0.0000, 0.2500)
Zn (0.5000, 0.0000, 0.7500)
P (0.1381, 0.8619, 0.2887)
P (0.1381, 0.8619, 0.7113)
P (0.3619, 0.3619, 0.2113)
P (0.3619, 0.3619, 0.7887)
P (0.6381, 0.6381, 0.2113)
P (0.6381, 0.6381, 0.7887)
P (0.8619, 0.1381, 0.2887)
P (0.8619, 0.1381, 0.7113)
O (0.0000, 0.0000, 0.3454)
O (0.0000, 0.0000, 0.6546)
O (0.0805, 0.6940, 0.3532)
O (0.0805, 0.6940, 0.6468)
O (0.1365, 0.8635, 0.1435)
O (0.1365, 0.8635, 0.8565)
O (0.1940, 0.4195, 0.1468)
O (0.1940, 0.4195, 0.8532)
O (0.3060, 0.9195, 0.3532)
O (0.3060, 0.9195, 0.6468)
O (0.3635, 0.3635, 0.3565)
O (0.3635, 0.3635, 0.6435)
O (0.4195, 0.1940, 0.1468)
O (0.4195, 0.1940, 0.8532)
O (0.5000, 0.5000, 0.1546)
O (0.5000, 0.5000, 0.8454)
O (0.5805, 0.8060, 0.1468)
O (0.5805, 0.8060, 0.8532)
O (0.6365, 0.6365, 0.3565)
O (0.6365, 0.6365, 0.6435)
O (0.6940, 0.0805, 0.3532)
O (0.6940, 0.0805, 0.6468)
O (0.8060, 0.5805, 0.1468)
O (0.8060, 0.5805, 0.8532)
O (0.8635, 0.1365, 0.1435)
O (0.8635, 0.1365, 0.8565)
O (0.9195, 0.3060, 0.3532)
O (0.9195, 0.3060, 0.6468)